Record 1
Theoretical powder X-ray diffraction pattern of Sr8Zn2Au for Cu Kα (weighted mean of Kα1 and Kα2), from the PBE geometry in Alexandria.

Most intense lines, 10° ≤ 2θ ≤ 90°, in order of rising 2θ:
(2 0 -1), 2θ = 15.18°, intensity 33
(2 2 1), 2θ = 27.61°, intensity 100
(3 1 -2), 2θ = 28.25°, intensity 44
(4 0 -2), 2θ = 30.65°, intensity 33
(0 4 0), 2θ = 35.95°, intensity 37
(2 2 -3), 2θ = 40.21°, intensity 35

Crystal structure
Lattice parameters (Å, degrees): 13.855 9.997 7.539 90.00 108.16 90.00
Space group C2/m (No. 12)
Unique sites:
Sr 0.079 0.000 0.281 [4 per cell]
Sr 0.132 0.500 0.238 [4 per cell]
Sr 0.148 0.293 0.747 [8 per cell]
Zn 0.181 0.000 0.946 [4 per cell]
Au 0.000 0.500 0.500 [2 per cell]


Record 2
Theoretical powder X-ray diffraction pattern of Sr6Zn5 for Cu Kα (weighted mean of Kα1 and Kα2), from the PBE geometry in Alexandria.

Most intense lines, 10° ≤ 2θ ≤ 90°, in order of rising 2θ:
(2 0 0), 2θ = 32.25°, intensity 51
(1 2 3), 2θ = 32.45°, intensity 100
(2 0 6), 2θ = 46.25°, intensity 18
(3 2 3), 2θ = 57.63°, intensity 37
(2 4 0), 2θ = 58.01°, intensity 18
(2 4 6), 2θ = 67.94°, intensity 11

Crystal structure
Lattice parameters (Å, degrees): 5.548 7.759 16.665 90.00 90.00 90.00
Space group Immm (No. 71)
Unique sites:
Sr 0.000 0.247 0.000 [4 per cell]
Sr 0.000 0.252 0.333 [8 per cell]
Zn 0.000 0.000 0.166 [4 per cell]
Zn 0.000 0.500 0.169 [4 per cell]
Zn 0.000 0.500 0.500 [2 per cell]


Record 3
Theoretical powder X-ray diffraction pattern of Pm7NdY3 for Cu Kα (weighted mean of Kα1 and Kα2), from the PBE geometry in Alexandria.

Most intense lines, 10° ≤ 2θ ≤ 90°, in order of rising 2θ:
(0 2 -2), 2θ = 30.81°, intensity 23
(1 2 -1), 2θ = 31.16°, intensity 44
(-1 2 1), 2θ = 31.46°, intensity 74
(2 0 -2), 2θ = 31.72°, intensity 100
(1 1 2), 2θ = 32.85°, intensity 26
(1 -2 2), 2θ = 33.88°, intensity 21

Crystal structure
Lattice parameters (Å, degrees): 6.596 6.790 8.795 100.03 98.83 95.98
Space group P-1 (No. 2)
Unique sites:
Pm 0.000 0.000 0.000 [1 per cell]
Pm 0.057 0.711 0.642 [2 per cell]
Pm 0.215 0.225 0.709 [2 per cell]
Pm 0.484 0.737 0.917 [2 per cell]
Nd 0.000 0.500 0.000 [1 per cell]
Y 0.314 0.933 0.335 [2 per cell]
Y 0.500 0.500 0.500 [1 per cell]